1.
The following is a computed powder diffractogram of Tm2Sc2In5Ni2. It was derived from a GGA-PBE-relaxed structure, using Cu Kα, 1.54184 Å.
Neutral-atom scattering factors, no anomalous dispersion.

Crystal structure
```
Tm2Sc2In5Ni2
1.0
7.5961 0.0000 0.0000
0.0000 3.4112 0.0000
-0.7526 0.0000 9.2806
Tm Sc In Ni
2 2 5 2
Cartesian
1.1206 0.0000 3.1819 Tm
5.7229 0.0000 6.0987 Tm
0.8305 0.0000 8.7304 Sc
6.0130 0.0000 0.5502 Sc
0.7868 1.7056 6.0608 In
3.3495 1.7056 1.4931 In
3.4218 1.7056 4.6403 In
3.4940 1.7056 7.7876 In
6.0567 1.7056 3.2198 In
0.4465 1.7056 1.1822 Ni
6.3970 1.7056 8.0985 Ni
```

Main lines, low angle first (2θ from 5° to 70°):
- 30.6 deg, rel. 42.6, hkl 1 1 1
- 32.1 deg, rel. 42.5, hkl 1 0 3
- 34.2 deg, rel. 92.5, hkl 1 1 -2
- 35.3 deg, rel. 100.0, hkl 1 1 2
- 35.4 deg, rel. 71.9, hkl 2 1 0
- 35.6 deg, rel. 83.5, hkl 3 0 0
- 36.0 deg, rel. 57.3, hkl 2 0 -3
- 39.1 deg, rel. 46.9, hkl 2 0 3
- 39.3 deg, rel. 78.5, hkl 0 1 3
- 53.7 deg, rel. 42.2, hkl 0 2 0


2.
The following is a computed powder diffractogram of InNi3Se5. It was derived from a GGA-PBE-relaxed structure, using Cu Kα, 1.54184 Å.
Neutral-atom scattering factors, no anomalous dispersion.

Crystal structure
```
InNi3Se5
1.0
5.5280 0.0000 0.0000
-2.7640 4.7874 0.0000
0.0000 0.0000 6.7963
In Ni Se
1 3 5
Cartesian
0.0000 0.0000 0.0000 In
-1.3820 2.3937 3.3981 Ni
2.7640 0.0000 3.3981 Ni
1.3820 2.3937 3.3981 Ni
0.0000 0.0000 3.3981 Se
0.0000 3.1916 1.6534 Se
0.0000 3.1916 5.1429 Se
2.7640 1.5958 1.6534 Se
2.7640 1.5958 5.1429 Se
```

Main lines, low angle first (2θ from 5° to 70°):
- 13.0 deg, rel. 17.8, hkl 0 0 1
- 22.7 deg, rel. 12.2, hkl 1 0 1
- 32.4 deg, rel. 100.0, hkl 1 1 0
- 37.6 deg, rel. 9.7, hkl 2 0 0
- 42.1 deg, rel. 8.9, hkl 1 1 2
- 46.4 deg, rel. 58.5, hkl 2 0 2
- 54.0 deg, rel. 10.1, hkl 0 0 4
- 57.7 deg, rel. 27.1, hkl 3 0 0
- 64.4 deg, rel. 14.3, hkl 1 1 4
- 67.8 deg, rel. 15.1, hkl 2 2 0


Repeat the first record exactly.
The following is a computed powder diffractogram of Tm2Sc2In5Ni2. It was derived from a GGA-PBE-relaxed structure, using Cu Kα, 1.54184 Å.
Neutral-atom scattering factors, no anomalous dispersion.

Crystal structure
```
Tm2Sc2In5Ni2
1.0
7.5961 0.0000 0.0000
0.0000 3.4112 0.0000
-0.7526 0.0000 9.2806
Tm Sc In Ni
2 2 5 2
Cartesian
1.1206 0.0000 3.1819 Tm
5.7229 0.0000 6.0987 Tm
0.8305 0.0000 8.7304 Sc
6.0130 0.0000 0.5502 Sc
0.7868 1.7056 6.0608 In
3.3495 1.7056 1.4931 In
3.4218 1.7056 4.6403 In
3.4940 1.7056 7.7876 In
6.0567 1.7056 3.2198 In
0.4465 1.7056 1.1822 Ni
6.3970 1.7056 8.0985 Ni
```

Main lines, low angle first (2θ from 5° to 70°):
- 30.6 deg, rel. 42.6, hkl 1 1 1
- 32.1 deg, rel. 42.5, hkl 1 0 3
- 34.2 deg, rel. 92.5, hkl 1 1 -2
- 35.3 deg, rel. 100.0, hkl 1 1 2
- 35.4 deg, rel. 71.9, hkl 2 1 0
- 35.6 deg, rel. 83.5, hkl 3 0 0
- 36.0 deg, rel. 57.3, hkl 2 0 -3
- 39.1 deg, rel. 46.9, hkl 2 0 3
- 39.3 deg, rel. 78.5, hkl 0 1 3
- 53.7 deg, rel. 42.2, hkl 0 2 0


What did the first record say?
The following is a computed powder diffractogram of Tm2Sc2In5Ni2. It was derived from a GGA-PBE-relaxed structure, using Cu Kα, 1.54184 Å.
Neutral-atom scattering factors, no anomalous dispersion.

Crystal structure
```
Tm2Sc2In5Ni2
1.0
7.5961 0.0000 0.0000
0.0000 3.4112 0.0000
-0.7526 0.0000 9.2806
Tm Sc In Ni
2 2 5 2
Cartesian
1.1206 0.0000 3.1819 Tm
5.7229 0.0000 6.0987 Tm
0.8305 0.0000 8.7304 Sc
6.0130 0.0000 0.5502 Sc
0.7868 1.7056 6.0608 In
3.3495 1.7056 1.4931 In
3.4218 1.7056 4.6403 In
3.4940 1.7056 7.7876 In
6.0567 1.7056 3.2198 In
0.4465 1.7056 1.1822 Ni
6.3970 1.7056 8.0985 Ni
```

Main lines, low angle first (2θ from 5° to 70°):
- 30.6 deg, rel. 42.6, hkl 1 1 1
- 32.1 deg, rel. 42.5, hkl 1 0 3
- 34.2 deg, rel. 92.5, hkl 1 1 -2
- 35.3 deg, rel. 100.0, hkl 1 1 2
- 35.4 deg, rel. 71.9, hkl 2 1 0
- 35.6 deg, rel. 83.5, hkl 3 0 0
- 36.0 deg, rel. 57.3, hkl 2 0 -3
- 39.1 deg, rel. 46.9, hkl 2 0 3
- 39.3 deg, rel. 78.5, hkl 0 1 3
- 53.7 deg, rel. 42.2, hkl 0 2 0